# 1
Starting from DFT lattice parameters and positions (PBE+U), the powder XRD pattern of Mn23FeO32 was computed for Cu Kα.
No peak broadening, texture or thermal motion is included.

Largest 10 diffraction maxima, most intense first, 15 to 90 degrees two-theta:
d = 2.549 Å, intensity 100, hkl 1 3 1; d = 2.791 Å, intensity 72, hkl 2 0 -2; d = 3.139 Å, intensity 35, hkl 2 0 0; d = 1.569 Å, intensity 29, hkl 2 -6 2; d = 1.618 Å, intensity 25, hkl 1 -5 5; d = 1.808 Å, intensity 23, hkl -3 1 3; d = 5.022 Å, intensity 22, hkl 1 -1 1; d = 2.092 Å, intensity 22, hkl 2 2 2; d = 2.374 Å, intensity 17, hkl -2 2 2; d = 2.959 Å, intensity 15, hkl 1 -1 3

Cell and atoms:
abc: 6.3325 10.4861 10.4975
angles: 105.90 94.44 94.27
Space group P-1 (No. 2)
Asymmetric unit:
1 Mn 0.0000 0.0000 0.0000
2 Mn 0.9998 0.0624 0.6875
3 Mn 0.9998 0.4368 0.8129
4 Mn 0.0038 0.7487 0.7491
5 Mn 0.2474 0.2512 0.5019
6 Mn 0.2498 0.2501 0.0003
7 Mn 0.2504 0.7501 0.0000
8 Mn 0.2513 0.7502 0.4999
9 Mn 0.4966 0.4372 0.3128
10 Mn 0.5000 0.0000 0.5000
11 Mn 0.5001 0.0631 0.1880
12 Mn 0.5000 0.2497 0.7502
13 Mn 0.5000 0.5000 0.0000
14 Fe 0.0000 0.5000 0.5000
15 O 0.0064 0.1287 0.8930
16 O 0.0070 0.1435 0.3785
17 O 0.0075 0.6427 0.8782
18 O 0.0081 0.6311 0.3922
19 O 0.2172 0.3726 0.3851
20 O 0.2281 0.1297 0.1154
21 O 0.2285 0.8648 0.8790
22 O 0.2329 0.6310 0.6155
23 O 0.2715 0.1350 0.6211
24 O 0.2718 0.3709 0.8857
25 O 0.2722 0.6355 0.1207
26 O 0.2721 0.8712 0.3852
27 O 0.4922 0.3570 0.6218
28 O 0.4927 0.3714 0.1075
29 O 0.4935 0.8574 0.1213
30 O 0.4952 0.8707 0.6068



# 2
Starting from DFT lattice parameters and positions (PBE+U), the powder XRD pattern of Mn2FeO4 was computed for Cu Kα.
No peak broadening, texture or thermal motion is included.

Largest 10 diffraction maxima, most intense first, 15 to 90 degrees two-theta:
d = 2.628 Å, intensity 100, hkl 2 1 1; d = 2.647 Å, intensity 96, hkl 1 2 1; d = 1.521 Å, intensity 84, hkl 2 2 4; d = 2.561 Å, intensity 84, hkl 1 0 3; d = 3.041 Å, intensity 53, hkl 1 1 2; d = 2.195 Å, intensity 45, hkl 2 2 0; d = 1.692 Å, intensity 34, hkl 2 3 1; d = 1.683 Å, intensity 29, hkl 3 2 1; d = 1.628 Å, intensity 28, hkl 0 1 5; d = 1.563 Å, intensity 24, hkl 0 4 0

Cell and atoms:
abc: 6.1668 6.2527 8.4324
angles: 90.00 90.00 90.00
Space group Imma (No. 74)
Asymmetric unit:
1 Mn 0.0000 0.0000 0.0000
2 Mn 0.0000 0.2500 0.3703
3 Fe 0.2500 0.2500 0.7500
4 O 0.0000 0.0252 0.7667
5 O 0.2320 0.2500 0.9874



# 3
Starting from DFT lattice parameters and positions (PBE+U), the powder XRD pattern of MnFe2O3 was computed for Cu Kα.
No peak broadening, texture or thermal motion is included.

Largest 10 diffraction maxima, most intense first, 15 to 90 degrees two-theta:
d = 2.262 Å, intensity 100, hkl 1 0 3; d = 1.554 Å, intensity 53, hkl 1 2 3; d = 2.568 Å, intensity 46, hkl 1 1 0; d = 2.555 Å, intensity 45, hkl 0 1 3; d = 2.139 Å, intensity 42, hkl 0 2 0; d = 1.606 Å, intensity 15, hkl 2 0 0; d = 1.593 Å, intensity 14, hkl 0 0 6; d = 1.284 Å, intensity 13, hkl 2 2 0; d = 1.360 Å, intensity 12, hkl 2 1 3; d = 1.278 Å, intensity 12, hkl 0 2 6

Cell and atoms:
abc: 3.2117 4.2772 9.5587
angles: 90.00 90.00 90.00
Space group Immm (No. 71)
Asymmetric unit:
1 Mn 0.0000 0.0000 0.0000
2 Fe 0.0000 0.0000 0.3340
3 O 0.0000 0.5000 0.0000
4 O 0.0000 0.5000 0.3308



# 4
Starting from DFT lattice parameters and positions (PBE+U), the powder XRD pattern of MnFe2O4 was computed for Cu Kα.
No peak broadening, texture or thermal motion is included.

Largest 10 diffraction maxima, most intense first, 15 to 90 degrees two-theta:
d = 2.601 Å, intensity 100, hkl 3 1 1; d = 1.525 Å, intensity 47, hkl 4 4 0; d = 1.660 Å, intensity 38, hkl 5 1 1; d = 3.049 Å, intensity 28, hkl 2 2 0; d = 2.156 Å, intensity 23, hkl 4 0 0; d = 1.123 Å, intensity 16, hkl 5 5 3; d = 4.980 Å, intensity 15, hkl 1 1 1; d = 1.315 Å, intensity 10, hkl 5 3 3; d = 2.490 Å, intensity 9, hkl 2 2 2; d = 1.761 Å, intensity 9, hkl 4 2 2

Cell and atoms:
abc: 8.6252 8.6252 8.6252
angles: 90.00 90.00 90.00
Space group Fd-3m (No. 227, origin choice 2)
Asymmetric unit:
1 Mn 0.1250 0.1250 0.1250
2 Fe 0.0000 0.0000 0.5000
3 O 0.0119 0.0119 0.7381



# 5
Starting from DFT lattice parameters and positions (PBE+U), the powder XRD pattern of Mn4FeO5 was computed for Cu Kα.
No peak broadening, texture or thermal motion is included.

Largest 10 diffraction maxima, most intense first, 15 to 90 degrees two-theta:
d = 2.243 Å, intensity 100, hkl 1 1 0; d = 2.577 Å, intensity 92, hkl 1 0 5; d = 1.574 Å, intensity 55, hkl 1 1 10; d = 2.208 Å, intensity 47, hkl 0 0 10; d = 1.586 Å, intensity 29, hkl 2 0 0; d = 1.288 Å, intensity 26, hkl 2 0 10; d = 1.351 Å, intensity 24, hkl 2 1 5; d = 1.335 Å, intensity 11, hkl 1 0 15; d = 1.122 Å, intensity 8, hkl 2 2 0; d = 1.104 Å, intensity 4, hkl 0 0 20

Cell and atoms:
abc: 3.1724 3.1724 22.0814
angles: 90.00 90.00 90.00
Space group I4/mmm (No. 139)
Asymmetric unit:
1 Mn 0.0000 0.0000 0.0971
2 Mn 0.0000 0.0000 0.3010
3 Fe 0.0000 0.0000 0.5000
4 O 0.0000 0.0000 0.0000
5 O 0.0000 0.0000 0.1995
6 O 0.0000 0.0000 0.4040



# 6
Starting from DFT lattice parameters and positions (PBE+U), the powder XRD pattern of MnFeO3 was computed for Cu Kα.
No peak broadening, texture or thermal motion is included.

Largest 10 diffraction maxima, most intense first, 15 to 90 degrees two-theta:
d = 2.752 Å, intensity 100, hkl -3 1 1; d = 2.795 Å, intensity 36, hkl 1 1 1; d = 1.685 Å, intensity 18, hkl 4 -4 0; d = 1.701 Å, intensity 10, hkl 4 0 0; d = 1.708 Å, intensity 9, hkl 0 0 4; d = 1.697 Å, intensity 9, hkl 0 4 0; d = 1.676 Å, intensity 9, hkl 4 0 -4; d = 3.899 Å, intensity 9, hkl 1 0 -2; d = 2.389 Å, intensity 8, hkl -2 2 2; d = 2.409 Å, intensity 8, hkl 2 -2 2

Cell and atoms:
abc: 8.2433 8.2616 8.2670
angles: 109.35 108.58 109.52
Space group P1 (No. 1)
Asymmetric unit:
1 Mn 0.0000 0.0000 0.0000
2 Mn 0.0029 0.5027 0.4939
3 Mn 0.2454 0.4679 0.2107
4 Mn 0.2833 0.7520 0.0317
5 Mn 0.5101 0.0070 0.5048
6 Mn 0.5337 0.2824 0.2521
7 Mn 0.7539 0.0334 0.2807
8 Mn 0.7827 0.7487 0.5343
9 Fe 0.0431 0.7886 0.2517
10 Fe 0.2162 0.2550 0.4635
11 Fe 0.2524 0.9622 0.7106
12 Fe 0.4688 0.7185 0.7558
13 Fe 0.5021 0.4985 0.0033
14 Fe 0.7108 0.2515 0.9590
15 Fe 0.7559 0.5433 0.7953
16 Fe 0.9676 0.2131 0.7505
17 O 0.0195 0.7253 0.4550
18 O 0.0425 0.9806 0.7773
19 O 0.0510 0.7821 0.0013
20 O 0.2355 0.4492 0.9635
21 O 0.2442 0.5135 0.4594
22 O 0.2452 0.7445 0.7871
23 O 0.2601 0.7204 0.2552
24 O 0.2673 0.2241 0.2225
25 O 0.2724 0.0493 0.4990
26 O 0.4461 0.2228 0.9364
27 O 0.4582 0.4591 0.7264
28 O 0.5026 0.9525 0.7159
29 O 0.5171 0.0585 0.2924
30 O 0.5481 0.7788 0.0502
31 O 0.5576 0.5428 0.2772
32 O 0.7281 0.9477 0.4992
33 O 0.7371 0.2881 0.7388
34 O 0.7380 0.7900 0.8043
35 O 0.7566 0.2768 0.2172
36 O 0.7791 0.5515 0.0534
37 O 0.7912 0.5219 0.5646
38 O 0.9431 0.2071 0.0063
39 O 0.9570 0.9943 0.2245
40 O 0.9978 0.2749 0.5255



# 7
Starting from DFT lattice parameters and positions (PBE+U), the powder XRD pattern of MnFe3P4O16 was computed for Cu Kα.
No peak broadening, texture or thermal motion is included.

Largest 10 diffraction maxima, most intense first, 15 to 90 degrees two-theta:
d = 4.398 Å, intensity 100, hkl 1 1 1; d = 2.495 Å, intensity 91, hkl 2 3 0; d = 3.543 Å, intensity 83, hkl 2 1 0; d = 2.989 Å, intensity 75, hkl 2 0 -2; d = 4.969 Å, intensity 72, hkl 0 2 0; d = 2.472 Å, intensity 31, hkl 1 1 -3; d = 3.821 Å, intensity 23, hkl 1 2 -1; d = 1.771 Å, intensity 23, hkl 4 2 0; d = 1.613 Å, intensity 23, hkl 4 3 -2; d = 1.896 Å, intensity 21, hkl 0 0 4

Cell and atoms:
abc: 7.7388 9.9372 7.7264
angles: 90.00 101.28 90.00
Space group Pc (No. 7)
Asymmetric unit:
1 Mn 0.0000 0.0352 0.0000
2 Fe 0.2947 0.4762 0.7991
3 Fe 0.5097 0.0242 0.5226
4 Fe 0.7949 0.4770 0.3005
5 P 0.0692 0.3472 0.0746
6 P 0.2408 0.1514 0.7434
7 P 0.5705 0.3483 0.5750
8 P 0.7395 0.1503 0.2475
9 O 0.0412 0.4208 0.2477
10 O 0.0681 0.0778 0.7711
11 O 0.1031 0.1960 0.1092
12 O 0.2067 0.3027 0.7121
13 O 0.2418 0.4210 0.0469
14 O 0.2739 0.0804 0.5724
15 O 0.3934 0.1305 0.9004
16 O 0.4162 0.3706 0.4213
17 O 0.5422 0.4229 0.7478
18 O 0.5671 0.0773 0.2761
19 O 0.6070 0.1984 0.6085
20 O 0.7096 0.3009 0.2168
21 O 0.7426 0.4242 0.5471
22 O 0.7648 0.0768 0.0740
23 O 0.8964 0.1284 0.4006
24 O 0.9154 0.3682 0.9201



# 8
Starting from DFT lattice parameters and positions (PBE+U), the powder XRD pattern of MnFe2P3O12 was computed for Cu Kα.
No peak broadening, texture or thermal motion is included.

Largest 10 diffraction maxima, most intense first, 15 to 90 degrees two-theta:
d = 3.677 Å, intensity 100, hkl 1 1 3; d = 4.331 Å, intensity 83, hkl 1 1 0; d = 2.713 Å, intensity 73, hkl 1 1 6; d = 2.500 Å, intensity 39, hkl 3 0 0; d = 1.920 Å, intensity 28, hkl 1 2 8; d = 1.839 Å, intensity 28, hkl 2 2 6; d = 1.637 Å, intensity 26, hkl 4 1 0; d = 1.481 Å, intensity 21, hkl 4 1 6; d = 2.809 Å, intensity 15, hkl 2 1 1; d = 3.530 Å, intensity 14, hkl 2 0 2

Cell and atoms:
abc: 8.6618 8.6618 20.8809
angles: 90.00 90.00 120.00
Space group R-3c (No. 167, hexagonal axes)
Asymmetric unit:
1 Mn 0.0000 0.0000 0.0000
2 Fe 0.0000 0.0000 0.1454
3 P 0.0000 0.2954 0.2500
4 O 0.0073 0.2011 0.3108
5 O 0.0161 0.1817 0.9244



Question: Number 1 is which compound?
Answer: Mn23FeO32